For V3O4F2, DFT lattice parameters and positions (PBE+U) gives the theoretical powder XRD pattern in this record (Cu Kα).
Peak positions follow from Bragg's law for the DFT cell and can differ from measured ones.

Top 6 peaks for 2θ = 10–90°, low angle first:
hkl	d (Å)	I (rel.)
2 0 0	3.333	100.0
1 1 -3	2.550	22.8
1 1 3	2.519	24.0
1 3 -3	1.732	13.4
1 3 3	1.722	13.9
3 1 3	1.710	14.5

Structure:
```
data_V3O4F2
_chemical_formula_sum 'V12 O16 F8'
_space_group_name_H-M_alt 'C 1 2 1'
_space_group_IT_number 5
_space_group_name_Hall 'C 2y'
_cell_length_a 6.6591
_cell_length_b 6.6756
_cell_length_c 9.0187
_cell_angle_alpha 90.00
_cell_angle_beta 91.10
_cell_angle_gamma 90.00
loop_
_atom_site_label
_atom_site_type_symbol
_atom_site_fract_x
_atom_site_fract_y
_atom_site_fract_z
V1 V 0.0000 0.0000 0.0000
V2 V 0.0000 0.4950 0.5000
V3 V 0.0082 0.9614 0.6540
V4 V 0.0291 0.5030 0.1535
O1 O 0.0000 0.2994 0.0000
O2 O 0.0000 0.7044 0.0000
O3 O 0.0022 0.6790 0.3284
O4 O 0.1868 0.9959 0.8292
O5 O 0.2037 0.9797 0.4973
F1 F 0.0075 0.2848 0.3295
F2 F 0.2074 0.9904 0.1712
```